Computed powder XRD pattern of Tb6Sc for Cu Kα (λ = 1.5418 Å), from a cell relaxed with PBE.

Most intense lines, 10° ≤ 2θ ≤ 80°, by angle:
2θ = 21.28°, I = 56; 2θ = 29.15°, I = 84; 2θ = 31.28°, I = 63; 2θ = 32.26°, I = 55; 2θ = 32.43°, I = 77; 2θ = 35.40°, I = 100; 2θ = 37.23°, I = 52; 2θ = 39.97°, I = 43; 2θ = 52.25°, I = 43; 2θ = 56.42°, I = 50

Cell and atoms:
```
data_Tb6Sc
_space_group_name_H-M_alt 'P 4/n b m'
_space_group_IT_number 125
_cell_length_a 6.3738
_cell_length_b 6.3738
_cell_length_c 11.1012
_cell_angle_alpha 90.00
_cell_angle_beta 90.00
_cell_angle_gamma 90.00
loop_
_space_group_symop_operation_xyz
'x,y,z'
'-x,-y,-z'
'-y+1/2,x,z'
'y+1/2,-x,-z'
'-x+1/2,-y+1/2,z'
'x+1/2,y+1/2,-z'
'y,-x+1/2,z'
'-y,x+1/2,-z'
'x,-y+1/2,-z'
'-x,y+1/2,z'
'-y+1/2,-x+1/2,-z'
'y+1/2,x+1/2,z'
'-x+1/2,y,-z'
'x+1/2,-y,z'
'y,x,-z'
'-y,-x,z'
loop_
_atom_site_label
_atom_site_fract_x
_atom_site_fract_y
_atom_site_fract_z
Tb1 0.0812 0.5812 0.1382
Tb2 0.2500 0.2500 0.3639
Sc1 0.2500 0.7500 0.5000
```